This entry pairs a crystal structure of As2PbXe3F18 with its computed XRD peak list. Radiation: Cu Kα (λ = 1.5418 Å). Structure: a structure optimized by DFT (GGA-PBE).
Lines closer than 0.1° are merged.

Principal peaks in the range 2θ from 10° to 90°, in order of rising 2θ:
| d (Å) | 2θ/deg | I_rel |
| --- | --- | --- |
| 6.614 | 13.4 | 17 |
| 3.976 | 22.4 | 100 |
| 3.737 | 23.8 | 36 |
| 3.672 | 24.2 | 77 |
| 3.158 | 28.3 | 36 |
| 3.113 | 28.7 | 22 |
| 2.141 | 42.2 | 17 |
| 1.947 | 46.7 | 23 |

```
48
Lattice="6.2836 -6.3168 0.0000 6.2836 6.3168 0.0000 -1.7051 0.0000 11.2097" Properties=species:S:1:pos:R:3 pbc="T T T"
As 2.2893 3.1584 5.6049
As 2.3403 0.0000 1.1394
As 2.2893 -3.1584 5.6049
As 8.5219 0.0000 10.0703
Pb 2.2712 0.0000 8.7277
Pb 8.5910 0.0000 2.4820
Xe -0.8525 0.0000 5.6049
Xe 5.3012 3.0244 1.8400
Xe 5.5609 3.0244 9.3697
Xe 5.4311 0.0000 5.6049
Xe 5.3012 -3.0244 1.8400
Xe 5.5609 -3.0244 9.3697
F 0.9781 2.1180 9.1301
F 3.1738 3.8538 6.9602
F 2.3632 1.7688 1.0991
F -0.0158 0.0000 7.5102
F 0.8779 0.0000 2.1064
F -0.2665 0.0000 10.8200
F 3.8260 2.8342 4.7900
F 2.3652 1.5353 6.3887
F 3.8764 1.8157 9.6773
F 3.3802 0.0000 2.5633
F 3.8698 0.0000 0.1071
F 2.3632 -1.7688 1.0991
F 0.9781 -2.1180 9.1301
F 7.6884 3.8538 4.2495
F 2.3652 -1.5353 6.3887
F 7.0361 2.8342 6.4197
F 6.9857 1.8157 1.5324
F 4.6447 0.0000 7.5398
F 6.2174 0.0000 3.6699
F 3.8764 -1.8157 9.6773
F 3.8260 -2.8342 4.7900
F 8.4969 1.5353 4.8210
F 3.1738 -3.8538 6.9602
F 9.8841 2.1180 2.0796
F 8.4990 1.7688 10.1106
F 6.9923 0.0000 11.1026
F 7.4819 0.0000 8.6465
F 6.9857 -1.8157 1.5324
F 8.4969 -1.5353 4.8210
F 7.0361 -2.8342 6.4197
F 11.1286 0.0000 0.3897
F 9.9843 0.0000 9.1033
F 10.8780 0.0000 3.6995
F 8.4990 -1.7688 10.1106
F 7.6884 -3.8538 4.2495
F 9.8841 -2.1180 2.0796
```

This entry pairs a crystal structure of Pr2ZnGa with its computed XRD peak list. Radiation: Cu Kα (λ = 1.5418 Å). Structure: a structure optimized by DFT (GGA-PBE).
Lines closer than 0.1° are merged.

Principal peaks in the range 2θ from 10° to 90°, in order of rising 2θ:
| d (Å) | 2θ/deg | I_rel |
| --- | --- | --- |
| 3.724 | 23.9 | 13 |
| 2.633 | 34.0 | 100 |
| 2.150 | 42.0 | 4 |
| 1.862 | 48.9 | 18 |
| 1.665 | 55.1 | 5 |
| 1.520 | 60.9 | 36 |
| 1.317 | 71.7 | 11 |
| 1.178 | 81.8 | 16 |

```
4
Lattice="0.0000 3.7240 3.7240 3.7240 0.0000 3.7240 3.7240 3.7240 0.0000" Properties=species:S:1:pos:R:3 pbc="T T T"
Pr 1.8620 1.8620 1.8620
Pr 5.5861 5.5861 5.5861
Zn 0.0000 0.0000 0.0000
Ga 3.7240 3.7240 3.7240
```

This entry pairs a crystal structure of Ca3Cr2N6 with its computed XRD peak list. Radiation: Cu Kα (λ = 1.5418 Å). Structure: a structure optimized by DFT (GGA-PBE).
Lines closer than 0.1° are merged.

Principal peaks in the range 2θ from 10° to 90°, in order of rising 2θ:
| d (Å) | 2θ/deg | I_rel |
| --- | --- | --- |
| 5.343 | 16.6 | 57 |
| 3.980 | 22.3 | 100 |
| 3.661 | 24.3 | 72 |
| 3.532 | 25.2 | 93 |
| 2.938 | 30.4 | 90 |
| 2.531 | 35.5 | 90 |
| 2.453 | 36.6 | 99 |
| 2.015 | 45.0 | 36 |

```
11
Lattice="5.9123 0.0000 0.0000 0.0000 4.9069 0.0000 -2.6905 0.0000 6.8031" Properties=species:S:1:pos:R:3 pbc="T T T"
Ca 0.0000 0.0000 0.0000
Ca -1.5604 2.4534 4.4048
Ca 2.8465 0.0000 2.9575
Cr 1.1576 2.4534 1.7010
Cr 0.1826 0.0000 5.6923
N -1.2561 0.0000 4.7231
N -0.3250 2.4534 2.4124
N -1.7494 2.4534 6.7896
N 2.8061 0.0000 0.5743
N 2.4848 2.4534 2.8127
N 1.7134 0.0000 5.0340
```

This entry pairs a crystal structure of NaYTiNbO6F with its computed XRD peak list. Radiation: Cu Kα (λ = 1.5418 Å). Structure: a structure optimized by DFT (GGA-PBE).
Lines closer than 0.1° are merged.

Principal peaks in the range 2θ from 10° to 90°, in order of rising 2θ:
| d (Å) | 2θ/deg | I_rel |
| --- | --- | --- |
| 5.154 | 17.2 | 41 |
| 3.041 | 29.4 | 100 |
| 2.931 | 30.5 | 93 |
| 2.589 | 34.6 | 25 |
| 1.883 | 48.3 | 18 |
| 1.826 | 49.9 | 69 |
| 1.584 | 58.2 | 28 |
| 1.537 | 60.2 | 24 |

```
22
Lattice="-3.5640 3.7666 5.1537 3.5640 -3.7666 5.1537 3.5640 3.7666 -5.1537" Properties=species:S:1:pos:R:3 pbc="T T T"
Na -1.7820 1.8833 2.5769
Na 1.7820 1.8833 2.5769
Y 0.0000 0.0000 0.0000
Y 0.0000 3.7666 0.0000
Ti 1.7820 1.8833 -2.5769
Ti 1.7820 -1.8833 2.5769
Nb 3.5640 0.0000 0.0000
Nb 0.0000 0.0000 5.1537
O 2.0655 -0.4342 1.2562
O 5.0625 -0.4342 1.2562
O 3.5640 -1.8833 3.3945
O 3.5640 1.8833 0.7078
O 2.0655 3.3325 -1.2562
O 1.4985 -0.4342 3.8975
O 2.0655 4.2008 1.2562
O 1.4985 0.4342 6.4100
O 0.0000 1.8833 4.4460
O 0.0000 5.6499 1.7592
O -1.4985 4.2008 3.8975
O 1.4985 4.2008 3.8975
F 0.0000 1.8833 1.2084
F 3.5640 1.8833 3.9454
```

This entry pairs a crystal structure of Cs2TlAgBr6 with its computed XRD peak list. Radiation: Cu Kα (λ = 1.5418 Å). Structure: a structure optimized by DFT (GGA-PBE).
Lines closer than 0.1° are merged.

Principal peaks in the range 2θ from 10° to 90°, in order of rising 2θ:
| d (Å) | 2θ/deg | I_rel |
| --- | --- | --- |
| 4.003 | 22.2 | 70 |
| 3.269 | 27.3 | 34 |
| 2.831 | 31.6 | 100 |
| 2.311 | 39.0 | 33 |
| 2.002 | 45.3 | 72 |
| 1.634 | 56.3 | 25 |
| 1.266 | 75.0 | 32 |
| 1.156 | 83.7 | 25 |

```
10
Lattice="0.0000 5.6613 5.6613 5.6613 0.0000 5.6613 5.6613 5.6613 0.0000" Properties=species:S:1:pos:R:3 pbc="T T T"
Cs 2.8307 2.8307 2.8307
Cs 8.4920 8.4920 8.4920
Tl 0.0000 0.0000 0.0000
Ag 5.6613 5.6613 5.6613
Br 5.6613 5.6613 2.8525
Br 5.6613 2.8525 5.6613
Br 8.4702 5.6613 5.6613
Br 2.8525 5.6613 5.6613
Br 5.6613 8.4702 5.6613
Br 5.6613 5.6613 8.4702
```